# 1
Starting from a cell relaxed with GGA-PBE, the X-ray powder pattern of Ho2Zn3In3 was simulated for Cu Ka.
Neutral-atom scattering factors, no anomalous dispersion.

Main lines, by intensity (15 to 90 degrees two-theta):
d/Å, 2θ/deg, Rel. int.
2.555, 35.12, 100
2.221, 40.62, 33
1.338, 70.36, 25
1.562, 59.15, 21
2.197, 41.08, 16
1.328, 71.00, 12
1.571, 58.80, 11
1.278, 74.22, 11

Cell: 4.395 4.438 8.892 Å, 90.00 90.00 90.00°
Space group Pmmm (No. 47)
Unique sites:
Ho1 0.000 0.000 0.244
Zn1 0.500 0.000 0.000
Zn2 0.500 0.500 0.238
In1 0.000 0.500 0.000
In2 0.000 0.500 0.500
In3 0.500 0.000 0.500

---

# 2
Starting from a cell relaxed with GGA-PBE, the X-ray powder pattern of Ba2FeSiH was simulated for Cu Ka.
Neutral-atom scattering factors, no anomalous dispersion.

Main lines, by intensity (15 to 90 degrees two-theta):
d/Å, 2θ/deg, Rel. int.
3.122, 28.59, 100
3.153, 28.31, 74
1.814, 50.29, 41
4.459, 19.91, 40
4.373, 20.31, 36
2.557, 35.09, 35
1.797, 50.82, 28
2.229, 40.46, 28

Cell: 6.305 6.305 4.373 Å, 90.00 90.00 90.00°
Space group P4/mmm (No. 123)
Unique sites:
Ba1 0.000 0.500 0.000
Fe1 0.000 0.000 0.500
Si1 0.000 0.000 0.000
H1 0.500 0.500 0.500

---

# 3
Starting from a cell relaxed with GGA-PBE, the X-ray powder pattern of Mn4CdP was simulated for Cu Ka.
Neutral-atom scattering factors, no anomalous dispersion.

Main lines, by intensity (15 to 90 degrees two-theta):
d/Å, 2θ/deg, Rel. int.
2.073, 43.67, 100
2.431, 36.99, 35
1.985, 45.72, 33
1.323, 71.28, 28
1.215, 78.75, 21
3.437, 25.92, 15
3.969, 22.40, 14
1.403, 66.65, 11

Cell: 6.875 6.875 6.875 Å, 90.00 90.00 90.00°
Space group F-43m (No. 216)
Unique sites:
Mn1 0.125 0.125 0.125
Cd1 0.000 0.000 0.500
P1 0.250 0.250 0.750